ErFe2GeH: simulated powder diffraction line list (Cu Kα), based on the PBE geometry in Alexandria.
Lines closer than 0.1° are merged.

Crystal structure
```
data_ErFe2GeH
_chemical_formula_sum 'Er4 Fe8 Ge4 H4'
_cell_length_a 3.534
_cell_length_b 10.398
_cell_length_c 7.279
_cell_angle_alpha 90.00
_cell_angle_beta 90.00
_cell_angle_gamma 90.00
_symmetry_space_group_name_H-M 'C m c m'
_symmetry_Int_Tables_number 63
_symmetry_space_group_name_Hall '-C 2c 2'
loop_
_atom_site_label
_atom_site_type_symbol
_atom_site_fract_x
_atom_site_fract_y
_atom_site_fract_z
_atom_site_occupancy
Er1 Er 0.000 0.041 0.250 1
Fe1 Fe 0.000 0.336 0.054 1
Ge1 Ge 0.000 0.238 0.750 1
H1 H 0.000 0.500 0.000 1
```

Peak list (8 most intense, 2θ = 10–90°, in order of rising 2θ)
d 3.640, 2θ 24.5, I 32, hkl 0 0 2
d 3.346, 2θ 26.6, I 25, hkl 1 1 0
d 2.475, 2θ 36.3, I 52, hkl 1 3 0
d 2.463, 2θ 36.5, I 100, hkl 1 1 2
d 2.448, 2θ 36.7, I 42, hkl 0 4 1
d 2.343, 2θ 38.4, I 70, hkl 1 3 1
d 2.115, 2θ 42.7, I 30, hkl 0 4 2
d 1.733, 2θ 52.8, I 26, hkl 1 3 3